1.
This entry pairs a crystal structure of La6Sn5 with its simulated powder X-ray diffraction pattern. Radiation: Cu Kα. Structure: a DFT-relaxed cell (GGA-PBE, Alexandria).
Intensities are scaled so that the largest is 100.

Top 10 peaks for 2θ = 10–90°, by angle:
d_spacing	2θ/deg	intensity	index
2.914	30.68	62	2 0 -2
2.692	33.28	100	1 3 1
2.061	43.94	23	2 6 -2
1.777	51.41	7	4 0 0
1.637	56.20	33	1 3 -3
1.635	56.28	11	5 3 -3
1.517	61.07	17	6 0 -2
1.346	69.86	6	2 6 2
1.345	69.91	6	6 6 -2
1.281	73.97	10	5 9 -3

Cell and atoms:
```
data_La6Sn5
_cell_length_a 9.186
_cell_length_b 17.503
_cell_length_c 5.822
_cell_angle_alpha 90.00
_cell_angle_beta 129.28
_cell_angle_gamma 90.00
_symmetry_space_group_name_H-M 'C 1 2/m 1'
_symmetry_Int_Tables_number 12
_symmetry_space_group_name_Hall '-C 2y'
loop_
_atom_site_label
_atom_site_type_symbol
_atom_site_fract_x
_atom_site_fract_y
_atom_site_fract_z
_atom_site_occupancy
La1 La 0.233 0.000 0.233 1
La2 La 0.242 0.169 0.742 1
Sn1 Sn 0.000 0.000 0.500 1
Sn2 Sn 0.000 0.170 0.000 1
Sn3 Sn 0.000 0.344 0.500 1
```

=====

2.
This entry pairs a crystal structure of NdHo2Ag2Pb2 with its simulated powder X-ray diffraction pattern. Radiation: Cu Kα. Structure: a DFT-relaxed cell (GGA-PBE, Alexandria).
Intensities are scaled so that the largest is 100.

Top 10 peaks for 2θ = 10–90°, by angle:
d_spacing	2θ/deg	intensity	index
3.589	24.80	12	1 0 4
2.824	31.69	92	1 0 7
2.607	34.40	25	0 1 8
2.475	36.30	100	1 1 0
2.240	40.26	14	1 0 10
1.861	48.94	27	0 2 7
1.487	62.44	26	2 1 7
1.453	64.08	14	0 1 17
1.429	65.29	35	3 0 0
1.237	77.08	11	2 2 0

Cell and atoms:
```
data_NdHo2Ag2Pb2
_cell_length_a 4.9493
_cell_length_b 4.9493
_cell_length_c 26.2709
_cell_angle_alpha 90.00
_cell_angle_beta 90.00
_cell_angle_gamma 120.00
_symmetry_space_group_name_H-M 'R -3 m'
_symmetry_Int_Tables_number 166
_symmetry_space_group_name_Hall '-R 3 2"'
loop_
_atom_site_label
_atom_site_type_symbol
_atom_site_fract_x
_atom_site_fract_y
_atom_site_fract_z
_atom_site_occupancy
Nd1 Nd 0.0000 0.0000 0.0000 1
Ho1 Ho 0.0000 0.0000 0.1346 1
Ag1 Ag 0.0000 0.0000 0.4430 1
Pb1 Pb 0.0000 0.0000 0.2650 1
```